Computed powder XRD pattern of CeYTh3 for Cu Kα X-rays, from a structure optimized by DFT (PBE).

Most intense lines, 15 to 90 degrees two-theta, by angle:
d_spacing, 2θ/deg, I/Imax
2.927, 30.54, 100
2.885, 31.00, 65
2.827, 31.65, 91
2.589, 34.64, 57
2.464, 36.47, 69
1.799, 50.75, 22
1.774, 51.50, 49
1.711, 53.55, 25
1.511, 61.34, 58
1.119, 87.07, 29

Atomic structure:
```
CeYTh3
1.0
3.5487 0.0000 0.0000
-1.7744 3.0733 0.0000
0.0000 0.0000 28.8456
Ce Y Th
2 2 6
direct
0.3333 0.6667 0.0000
0.6667 0.3333 0.5000
0.0000 0.0000 0.3035
0.0000 0.0000 0.8035
0.0000 0.0000 0.0985
0.0000 0.0000 0.5985
0.3333 0.6667 0.4036
0.3333 0.6667 0.6990
0.6667 0.3333 0.1990
0.6667 0.3333 0.9036
```


Computed powder XRD pattern of Ce5YTh4 for Cu Kα X-rays, from a structure optimized by DFT (PBE).

Most intense lines, 15 to 90 degrees two-theta, by angle:
d_spacing, 2θ/deg, I/Imax
2.841, 31.49, 100
2.464, 36.47, 34
2.455, 36.60, 17
1.740, 52.60, 35
1.485, 62.54, 29
1.481, 62.72, 13
1.421, 65.73, 12
1.130, 86.02, 6
1.129, 86.18, 11
1.102, 88.81, 6

Atomic structure:
```
Ce5YTh4
1.0
3.4840 0.0000 0.0000
0.0000 3.4840 0.0000
0.0000 0.0000 24.5508
Ce Y Th
5 1 4
direct
0.0000 0.0000 0.0000
0.0000 0.0000 0.1975
0.0000 0.0000 0.3943
0.0000 0.0000 0.6057
0.0000 0.0000 0.8025
0.5000 0.5000 0.5000
0.5000 0.5000 0.0986
0.5000 0.5000 0.2965
0.5000 0.5000 0.7035
0.5000 0.5000 0.9014
```


Computed powder XRD pattern of CeY2Th5 for Cu Kα X-rays, from a structure optimized by DFT (PBE).

Most intense lines, 15 to 90 degrees two-theta, by angle:
d_spacing, 2θ/deg, I/Imax
5.478, 16.18, 33
3.242, 27.51, 26
3.023, 29.55, 100
2.739, 32.69, 33
2.563, 35.01, 49
1.872, 48.65, 37
1.812, 50.35, 27
1.631, 56.42, 18
1.554, 59.46, 19
1.208, 79.30, 20

Atomic structure:
```
CeY2Th5
1.0
7.2496 0.0000 0.0000
0.0000 7.2496 0.0000
0.0000 0.0000 5.4785
Ce Y Th
1 2 5
direct
0.0000 0.0000 0.0000
0.0000 0.5000 0.5000
0.5000 0.0000 0.5000
0.0000 0.0000 0.5000
0.2784 0.2784 0.0000
0.2784 0.7216 0.0000
0.7216 0.2784 0.0000
0.7216 0.7216 0.0000
```


Computed powder XRD pattern of CeY2Th2 for Cu Kα X-rays, from a structure optimized by DFT (PBE).

Most intense lines, 15 to 90 degrees two-theta, by angle:
d_spacing, 2θ/deg, I/Imax
5.717, 15.50, 18
2.906, 30.77, 100
2.896, 30.88, 49
2.875, 31.10, 48
2.515, 35.70, 35
2.504, 35.86, 67
1.765, 51.79, 23
1.515, 61.19, 21
1.513, 61.28, 21
1.508, 61.48, 14

Atomic structure:
```
CeY2Th2
1.0
6.0982 0.0000 0.0000
2.0535 6.8313 0.0000
2.0301 1.2590 7.5715
Ce Y Th
2 4 4
direct
0.2067 0.0449 0.0941
0.7933 0.9551 0.9059
0.0015 0.2459 0.5007
0.2028 0.5490 0.0993
0.7972 0.4510 0.9007
0.9985 0.7541 0.4993
0.3992 0.8523 0.6998
0.4065 0.3446 0.6999
0.5935 0.6554 0.3001
0.6008 0.1477 0.3002
```


Computed powder XRD pattern of Ce6Y2Th for Cu Kα X-rays, from a structure optimized by DFT (PBE).

Most intense lines, 15 to 90 degrees two-theta, by angle:
d_spacing, 2θ/deg, I/Imax
2.798, 31.99, 68
2.788, 32.11, 100
2.731, 32.79, 73
2.603, 34.46, 45
1.906, 47.72, 44
1.625, 56.65, 36
1.536, 60.25, 16
1.449, 64.30, 27
1.421, 65.72, 14
1.218, 78.53, 14

Atomic structure:
```
Ce6Y2Th
1.0
4.9512 -7.8085 0.0000
4.9512 7.8085 0.0000
0.0000 0.0000 3.3916
Ce Y Th
6 2 1
direct
0.0102 0.3476 0.0000
0.3045 0.3045 0.0000
0.3476 0.0102 0.0000
0.6524 0.9898 0.0000
0.6955 0.6955 0.0000
0.9898 0.6524 0.0000
0.3381 0.6619 0.5000
0.6619 0.3381 0.5000
0.0000 0.0000 0.5000
```


Computed powder XRD pattern of CeThZn3 for Cu Kα X-rays, from a structure optimized by DFT (PBE).

Most intense lines, 15 to 90 degrees two-theta, by angle:
d_spacing, 2θ/deg, I/Imax
3.835, 23.19, 33
2.644, 33.90, 100
2.610, 34.35, 60
2.473, 36.33, 15
2.387, 37.69, 62
2.294, 39.27, 32
1.724, 53.13, 48
1.412, 66.19, 15
1.398, 66.93, 26
1.383, 67.77, 13

Atomic structure:
```
CeThZn3
1.0
1.7253 -13.9714 0.0000
1.7253 13.9714 0.0000
0.0000 0.0000 4.5885
Ce Th Zn
2 2 6
direct
0.2143 0.7857 0.7500
0.7857 0.2143 0.2500
0.0717 0.9283 0.2500
0.9283 0.0717 0.7500
0.3302 0.6698 0.7500
0.3799 0.6201 0.2500
0.4761 0.5239 0.2500
0.5239 0.4761 0.7500
0.6201 0.3799 0.7500
0.6698 0.3302 0.2500
```


Computed powder XRD pattern of CeThZr for Cu Kα X-rays, from a structure optimized by DFT (PBE).

Most intense lines, 15 to 90 degrees two-theta, by angle:
d_spacing, 2θ/deg, I/Imax
3.305, 26.97, 10
2.770, 32.32, 100
2.402, 37.45, 34
2.394, 37.57, 17
1.696, 54.06, 35
1.448, 64.34, 28
1.444, 64.51, 14
1.385, 67.64, 12
1.102, 88.81, 6
1.100, 88.96, 12

Atomic structure:
```
CeThZr
1.0
3.3965 0.0000 0.0000
0.0000 3.3965 0.0000
0.0000 0.0000 14.3640
Ce Th Zr
2 2 2
direct
0.0000 0.0000 0.0000
0.5000 0.5000 0.5000
0.0000 0.0000 0.6720
0.5000 0.5000 0.1720
0.0000 0.0000 0.3351
0.5000 0.5000 0.8351
```


Computed powder XRD pattern of CeThZr for Cu Kα X-rays, from a structure optimized by DFT (PBE).

Most intense lines, 15 to 90 degrees two-theta, by angle:
d_spacing, 2θ/deg, I/Imax
4.804, 18.47, 19
3.728, 23.87, 17
2.786, 32.12, 100
2.745, 32.62, 50
2.727, 32.85, 49
2.454, 36.62, 37
2.361, 38.11, 63
1.706, 53.73, 24
1.697, 54.04, 23
1.473, 63.11, 15

Atomic structure:
```
CeThZr
1.0
5.8920 0.0000 0.0000
0.0000 10.1541 0.0000
-2.2461 0.0000 5.4905
Ce Th Zr
4 4 4
direct
0.0000 0.2460 0.2500
0.0000 0.7540 0.7500
0.5000 0.2540 0.7500
0.5000 0.7460 0.2500
0.0000 0.0947 0.7500
0.0000 0.9053 0.2500
0.5000 0.4053 0.2500
0.5000 0.5947 0.7500
0.0000 0.4317 0.7500
0.0000 0.5683 0.2500
0.5000 0.0683 0.2500
0.5000 0.9317 0.7500
```